Diffraction record for Na2HCN2. The X-ray powder pattern is simulated, not measured: it uses a DFT-relaxed cell (GGA-PBE, Alexandria) and Cu Kα.

Main lines, low angle first (5° ≤ 2θ ≤ 70°):
2θ 15.18, rel. 73, (1 1 0)
2θ 25.07, rel. 93, (0 2 0)
2θ 35.00, rel. 100, (4 0 0)
2θ 38.84, rel. 55, (0 0 2)
2θ 46.79, rel. 32, (0 2 2)
2θ 50.89, rel. 31, (3 3 1)

Structural model:
Cell: 10.2464 7.1030 4.6368 Å, 90.00 90.00 90.00°
Space group Cmc2_1 (No. 36)
Inequivalent atoms, fractional coordinates:
Na (0.1571, 0.2376, 0.0000) x8
H (0.0000, 0.4986, 0.2349) x4
C (0.0000, 0.1513, 0.5000) x4
N (0.1209, 0.1521, 0.5001) x8